Structure and theoretical powder X-ray diffraction pattern of ZrMnO3 (a structure optimized by DFT (GGA+U); Cu Kα (λ = 1.5418 Å)).
Neutral-atom scattering factors, no anomalous dispersion.

Most intense lines, 2θ = 5–70°, in order of rising 2θ:
2theta, d (Å), I_rel
22.33, 3.982, 41
30.84, 2.899, 100
32.70, 2.739, 79
37.65, 2.389, 11
45.56, 1.991, 43
50.04, 1.823, 39
53.64, 1.709, 13
57.20, 1.610, 37
58.36, 1.581, 30
66.82, 1.400, 12

Structure:
```
data_ZrMnO3
_space_group_name_H-M_alt 'R 3 c'
_space_group_IT_number 161
_space_group_name_Hall 'R 3 -2"c'
_cell_length_a 5.4778
_cell_length_b 5.4778
_cell_length_c 14.6533
_cell_angle_alpha 90.00
_cell_angle_beta 90.00
_cell_angle_gamma 120.00
loop_
_atom_site_label
_atom_site_type_symbol
_atom_site_fract_x
_atom_site_fract_y
_atom_site_fract_z
_atom_site_occupancy
Zr1 Zr 0.0000 0.0000 0.0000 1
Mn1 Mn 0.0000 0.0000 0.2840 1
O1 O 0.0447 0.3544 0.0655 1
```